Theoretical XRD peak list of Co2NiSe4 for Cu Kα (weighted mean of Kα1 and Kα2), from a structure optimized by DFT (PBE).
Intensities are scaled so that the largest is 100.

Most intense lines, 10 to 90 degrees two-theta, by intensity:
2theta  d [Å]  I_rel  hkl
52.5  1.742  100  4 0 0
36.5  2.463  86  2 2 0
31.5  2.844  42  2 0 2
30.1  2.971  41  2 1 1
48.0  1.896  26  1 0 5
88.8  1.102  24  6 2 0
65.6  1.422  19  4 0 4
62.5  1.485  16  4 2 2

Structural model:
```
data_Co2NiSe4
_symmetry_space_group_name_H-M 'P 41 2 2'
_symmetry_Int_Tables_number 91
_cell_length_a 6.9673
_cell_length_b 6.9673
_cell_length_c 9.8544
_cell_angle_alpha 90.00
_cell_angle_beta 90.00
_cell_angle_gamma 90.00
loop_
_symmetry_equiv_pos_as_xyz
'x,y,z'
'-y,x,z+1/4'
'-x,-y,z+1/2'
'y,-x,z+3/4'
'x,-y,-z+1/2'
'-y,-x,-z+1/4'
'-x,y,-z'
'y,x,-z+3/4'
loop_
_atom_site_label
_atom_site_fract_x
_atom_site_fract_y
_atom_site_fract_z
Co1 0.0000 0.2501 0.0000
Co2 0.2502 0.2502 0.3750
Ni1 0.2501 0.5000 0.7500
Se1 0.0131 0.2462 0.7581
Se2 0.2461 0.4861 0.9942
```



Theoretical XRD peak list of Ta2AlZn2 for Cu Kα (weighted mean of Kα1 and Kα2), from a structure optimized by DFT (PBE).
Intensities are scaled so that the largest is 100.

Most intense lines, 10 to 90 degrees two-theta, by intensity:
2theta  d [Å]  I_rel  hkl
42.0  2.151  100  1 3 1
42.8  2.111  50  2 0 1
19.6  4.528  50  0 0 1
29.1  3.066  43  1 1 1
39.8  2.264  40  0 0 2
20.8  4.270  39  0 2 0
36.8  2.445  35  1 3 0
55.3  1.661  22  1 3 2

Structural model:
```
data_Ta2AlZn2
_symmetry_space_group_name_H-M 'P b a m'
_symmetry_Int_Tables_number 55
_cell_length_a 4.7720
_cell_length_b 8.5406
_cell_length_c 4.5284
_cell_angle_alpha 90.00
_cell_angle_beta 90.00
_cell_angle_gamma 90.00
loop_
_symmetry_equiv_pos_as_xyz
'x,y,z'
'-x,-y,-z'
'-x,-y,z'
'x,y,-z'
'x+1/2,-y+1/2,-z'
'-x+1/2,y+1/2,z'
'-x+1/2,y+1/2,-z'
'x+1/2,-y+1/2,z'
loop_
_atom_site_label
_atom_site_fract_x
_atom_site_fract_y
_atom_site_fract_z
Ta1 0.0023 0.1679 0.0000
Al1 0.0000 0.5000 0.0000
Zn1 0.1716 0.3317 0.5000
```